[1]
Calculated XRD peak list
Compound: PrHoCuTe3
Radiation: Cu Ka
Structure: a DFT-relaxed cell (PBE, OQMD)
Neutral-atom scattering factors, no anomalous dispersion.

Cell and atoms:
abc: 4.207 14.392 11.128
angles: 90.00 90.00 90.00
Space group Cmcm (No. 63)
Symmetry-distinct sites (fractional):
Pr 0.000 0.233 0.250
Ho 0.000 0.000 0.000
Cu 0.000 0.469 0.750
Te 0.000 0.088 0.750
Te 0.000 0.354 0.564

Top 10 peaks for 10° ≤ 2θ ≤ 80°, in order of rising 2θ:
| d [Å] | Position (°2θ) | Rel. int. | hkl |
| --- | --- | --- | --- |
| 3.297 | 27.04 | 326 | 0 2 3 |
| 3.163 | 28.22 | 293 | 1 3 0 |
| 3.042 | 29.36 | 761 | 1 3 1 |
| 2.782 | 32.18 | 324 | 0 0 4 |
| 2.750 | 32.56 | 1000 | 1 3 2 |
| 2.732 | 32.79 | 312 | 1 1 3 |
| 2.202 | 40.98 | 444 | 0 6 2 |
| 2.103 | 43.00 | 336 | 2 0 0 |
| 1.521 | 60.91 | 275 | 2 6 2 |
| 1.309 | 72.19 | 253 | 1 7 6 |

=====

[2]
Calculated XRD peak list
Compound: TbCl2
Radiation: Cu Ka
Structure: a DFT-relaxed cell (PBE, OQMD)
Neutral-atom scattering factors, no anomalous dispersion.

Cell and atoms:
abc: 6.894 6.894 3.488
angles: 90.00 90.00 90.00
Space group P4_2/mnm (No. 136)
Symmetry-distinct sites (fractional):
Tb 0.000 0.000 0.000
Cl 0.220 0.220 0.500

Top 10 peaks for 10° ≤ 2θ ≤ 80°, in order of rising 2θ:
| d [Å] | Position (°2θ) | Rel. int. | hkl |
| --- | --- | --- | --- |
| 4.875 | 18.20 | 1000 | 1 1 0 |
| 3.447 | 25.85 | 129 | 2 0 0 |
| 3.112 | 28.68 | 532 | 1 0 1 |
| 2.437 | 36.88 | 317 | 2 2 0 |
| 2.310 | 38.99 | 657 | 2 1 1 |
| 2.180 | 41.42 | 218 | 3 1 0 |
| 1.919 | 47.37 | 246 | 3 0 1 |
| 1.677 | 54.75 | 134 | 3 2 1 |
| 1.508 | 61.50 | 133 | 4 1 1 |
| 1.282 | 73.92 | 136 | 4 3 1 |

=====

[3]
Calculated XRD peak list
Compound: DyYCd4
Radiation: Cu Ka
Structure: a DFT-relaxed cell (PBE, OQMD)
Neutral-atom scattering factors, no anomalous dispersion.

Cell and atoms:
abc: 3.439 4.950 8.555
angles: 90.00 90.00 90.00
Space group Pmmm (No. 47)
Symmetry-distinct sites (fractional):
Dy 0.000 0.000 0.000
Y 0.000 0.500 0.500
Cd 0.500 0.000 0.333
Cd 0.500 0.500 0.167

Top 10 peaks for 10° ≤ 2θ ≤ 80°, in order of rising 2θ:
| d [Å] | Position (°2θ) | Rel. int. | hkl |
| --- | --- | --- | --- |
| 3.439 | 25.91 | 62 | 1 0 0 |
| 2.681 | 33.42 | 1000 | 1 0 2 |
| 2.472 | 36.34 | 869 | 0 2 0 |
| 2.007 | 45.17 | 78 | 1 2 0 |
| 1.818 | 50.19 | 310 | 1 2 2 |
| 1.720 | 53.27 | 94 | 2 0 0 |
| 1.465 | 63.50 | 198 | 1 3 1 |
| 1.463 | 63.58 | 101 | 1 1 5 |
| 1.428 | 65.33 | 99 | 0 3 3 |
| 1.412 | 66.20 | 286 | 2 2 0 |

=====

[4]
Calculated XRD peak list
Compound: Dy4Er3Ni2Te2
Radiation: Cu Ka
Structure: a DFT-relaxed cell (PBE, OQMD)
Neutral-atom scattering factors, no anomalous dispersion.

Cell and atoms:
abc: 3.847 15.603 9.547
angles: 90.00 90.00 90.00
Space group Imm2 (No. 44)
Symmetry-distinct sites (fractional):
Dy 0.000 0.133 0.000
Dy 0.000 0.354 0.147
Er 0.000 0.000 0.417
Er 0.000 0.315 0.797
Ni 0.000 0.237 0.489
Te 0.000 0.000 0.754
Te 0.000 0.500 0.653

Top 10 peaks for 10° ≤ 2θ ≤ 80°, in order of rising 2θ:
| d [Å] | Position (°2θ) | Rel. int. | hkl |
| --- | --- | --- | --- |
| 3.093 | 28.87 | 230 | 1 3 0 |
| 2.966 | 30.13 | 229 | 0 5 1 |
| 2.942 | 30.39 | 512 | 1 1 2 |
| 2.714 | 33.00 | 795 | 0 3 3 |
| 2.633 | 34.05 | 1000 | 1 4 1 |
| 2.597 | 34.53 | 745 | 0 6 0 |
| 2.452 | 36.65 | 227 | 1 0 3 |
| 2.339 | 38.48 | 192 | 1 2 3 |
| 1.923 | 47.26 | 291 | 2 0 0 |
| 1.569 | 58.84 | 305 | 2 3 3 |

=====

[5]
Calculated XRD peak list
Compound: BaSrAg2Se2F2
Radiation: Cu Ka
Structure: a DFT-relaxed cell (PBE, OQMD)
Neutral-atom scattering factors, no anomalous dispersion.

Cell and atoms:
abc: 4.286 4.286 9.305
angles: 90.00 90.00 90.00
Space group P4mm (No. 99)
Symmetry-distinct sites (fractional):
Ba 0.000 0.000 0.000
Sr 0.500 0.500 0.687
Ag 0.000 0.500 0.349
Se 0.000 0.000 0.536
Se 0.500 0.500 0.157
F 0.000 0.500 0.829

Top 10 peaks for 10° ≤ 2θ ≤ 80°, in order of rising 2θ:
| d [Å] | Position (°2θ) | Rel. int. | hkl |
| --- | --- | --- | --- |
| 3.152 | 28.31 | 824 | 1 0 2 |
| 2.882 | 31.03 | 420 | 1 1 1 |
| 2.540 | 35.34 | 1000 | 1 1 2 |
| 2.143 | 42.16 | 579 | 2 0 0 |
| 2.045 | 44.30 | 241 | 1 0 4 |
| 1.845 | 49.39 | 288 | 1 1 4 |
| 1.772 | 51.57 | 304 | 2 1 2 |
| 1.515 | 61.15 | 184 | 2 2 0 |
| 1.479 | 62.81 | 169 | 2 1 4 |
| 1.301 | 72.65 | 222 | 3 1 2 |

=====

[6]
Calculated XRD peak list
Compound: Na2Hf2AlGaPt2
Radiation: Cu Ka
Structure: a DFT-relaxed cell (PBE, OQMD)
Neutral-atom scattering factors, no anomalous dispersion.

Cell and atoms:
abc: 4.588 4.588 6.491
angles: 90.00 90.00 90.00
Space group P-4m2 (No. 115)
Symmetry-distinct sites (fractional):
Na 0.000 0.500 0.248
Hf 0.000 0.000 0.000
Hf 0.500 0.500 0.500
Al 0.000 0.000 0.500
Ga 0.500 0.500 0.000
Pt 0.000 0.500 0.745

Top 9 peaks for 10° ≤ 2θ ≤ 80°, in order of rising 2θ:
| d [Å] | Position (°2θ) | Rel. int. | hkl |
| --- | --- | --- | --- |
| 4.588 | 19.35 | 5 | 1 0 0 |
| 3.746 | 23.75 | 540 | 1 0 1 |
| 2.902 | 30.81 | 5 | 1 1 1 |
| 2.294 | 39.27 | 1000 | 2 0 0 |
| 1.956 | 46.41 | 282 | 2 1 1 |
| 1.622 | 56.75 | 171 | 2 2 0 |
| 1.489 | 62.38 | 120 | 3 0 1 |
| 1.325 | 71.19 | 347 | 3 1 2 |
| 1.249 | 76.24 | 91 | 3 2 1 |

=====

[7]
Calculated XRD peak list
Compound: Pu2Br3N
Radiation: Cu Ka
Structure: a DFT-relaxed cell (PBE, OQMD)
Neutral-atom scattering factors, no anomalous dispersion.

Cell and atoms:
abc: 18.316 3.923 11.462
angles: 90.00 123.93 90.00
Space group C2/m (No. 12)
Symmetry-distinct sites (fractional):
Pu 0.076 0.000 0.457
Pu 0.132 0.500 0.780
Br 0.037 0.500 0.238
Br 0.168 0.000 0.008
Br 0.218 0.500 0.621
N 0.070 0.000 0.647

Top 10 peaks for 10° ≤ 2θ ≤ 80°, in order of rising 2θ:
| d [Å] | Position (°2θ) | Rel. int. | hkl |
| --- | --- | --- | --- |
| 8.795 | 10.06 | 1000 | 2 0 -1 |
| 3.369 | 26.45 | 492 | 1 1 1 |
| 3.193 | 27.94 | 341 | 1 1 -2 |
| 2.880 | 31.05 | 333 | 6 0 -1 |
| 2.856 | 31.32 | 244 | 4 0 -4 |
| 2.784 | 32.15 | 425 | 1 1 2 |
| 2.671 | 33.56 | 234 | 5 1 -2 |
| 2.525 | 35.56 | 231 | 5 1 -3 |
| 2.158 | 41.85 | 243 | 7 1 -3 |
| 2.118 | 42.69 | 186 | 5 1 1 |

=====

[8]
Calculated XRD peak list
Compound: Nb4Co5Bi5
Radiation: Cu Ka
Structure: a DFT-relaxed cell (PBE, OQMD)
Neutral-atom scattering factors, no anomalous dispersion.

Cell and atoms:
abc: 9.523 9.523 6.082
angles: 90.00 90.00 90.00
Space group I-4 (No. 82)
Symmetry-distinct sites (fractional):
Nb 0.095 0.302 0.008
Co 0.000 0.500 0.750
Co 0.108 0.784 0.221
Bi 0.000 0.000 0.000
Bi 0.088 0.277 0.510

Top 10 peaks for 10° ≤ 2θ ≤ 80°, in order of rising 2θ:
| d [Å] | Position (°2θ) | Rel. int. | hkl |
| --- | --- | --- | --- |
| 3.488 | 25.53 | 678 | 2 1 1 |
| 3.041 | 29.37 | 291 | 0 0 2 |
| 3.011 | 29.67 | 545 | 1 3 0 |
| 2.140 | 42.24 | 1000 | 1 3 2 |
| 2.129 | 42.45 | 457 | 4 2 0 |
| 1.817 | 50.20 | 160 | 3 4 1 |
| 1.744 | 52.46 | 206 | 4 2 2 |
| 1.506 | 61.60 | 129 | 2 6 0 |
| 1.237 | 77.08 | 142 | 4 2 4 |
| 1.231 | 77.52 | 246 | 5 5 2 |

=====

[9]
Calculated XRD peak list
Compound: Lu2Ta4As3N3
Radiation: Cu Ka
Structure: a DFT-relaxed cell (PBE, OQMD)
Neutral-atom scattering factors, no anomalous dispersion.

Cell and atoms:
abc: 10.131 5.915 12.472
angles: 90.00 105.43 90.00
Space group C2/c (No. 15)
Symmetry-distinct sites (fractional):
Lu 0.048 0.082 0.395
Ta 0.113 0.423 0.588
Ta 0.217 0.414 0.912
As 0.000 0.439 0.250
As 0.179 0.099 0.750
N 0.081 0.243 0.000
N 0.250 0.250 0.500

Top 10 peaks for 10° ≤ 2θ ≤ 80°, in order of rising 2θ:
| d [Å] | Position (°2θ) | Rel. int. | hkl |
| --- | --- | --- | --- |
| 2.958 | 30.22 | 292 | 0 2 0 |
| 2.933 | 30.48 | 533 | 3 1 -1 |
| 2.850 | 31.39 | 281 | 3 1 0 |
| 2.380 | 37.80 | 992 | 0 2 3 |
| 2.372 | 37.94 | 1000 | 3 1 2 |
| 2.362 | 38.10 | 999 | 3 1 -4 |
| 2.004 | 45.25 | 332 | 0 0 6 |
| 1.703 | 53.84 | 528 | 3 3 -1 |
| 1.689 | 54.33 | 263 | 6 0 -2 |
| 1.658 | 55.40 | 216 | 0 2 6 |

=====

[10]
Calculated XRD peak list
Compound: LiLaNiPb
Radiation: Cu Ka
Structure: a DFT-relaxed cell (PBE, OQMD)
Neutral-atom scattering factors, no anomalous dispersion.

Cell and atoms:
abc: 7.063 7.063 7.063
angles: 90.00 90.00 90.00
Space group F-43m (No. 216)
Symmetry-distinct sites (fractional):
Li 0.000 0.000 0.000
La 0.250 0.250 0.750
Ni 0.250 0.250 0.250
Pb 0.000 0.000 0.500

Top 8 peaks for 10° ≤ 2θ ≤ 80°, in order of rising 2θ:
| d [Å] | Position (°2θ) | Rel. int. | hkl |
| --- | --- | --- | --- |
| 4.078 | 21.80 | 611 | 1 1 1 |
| 2.497 | 35.97 | 1000 | 2 2 0 |
| 2.129 | 42.45 | 339 | 3 1 1 |
| 1.766 | 51.78 | 177 | 4 0 0 |
| 1.620 | 56.82 | 147 | 3 3 1 |
| 1.442 | 64.65 | 362 | 4 2 2 |
| 1.359 | 69.11 | 111 | 5 1 1 |
| 1.249 | 76.26 | 113 | 4 4 0 |

=====

[11]
Calculated XRD peak list
Compound: WSe
Radiation: Cu Ka
Structure: a DFT-relaxed cell (PBE, OQMD)
Neutral-atom scattering factors, no anomalous dispersion.

Cell and atoms:
abc: 3.0665 3.0665 8.0002
angles: 90.00 90.00 120.00
Space group P6_3/mmc (No. 194)
Symmetry-distinct sites (fractional):
W 0.3333 0.6667 0.2500
Se 0.0000 0.0000 0.0000

Top 10 peaks for 10° ≤ 2θ ≤ 80°, in order of rising 2θ:
| d [Å] | Position (°2θ) | Rel. int. | hkl |
| --- | --- | --- | --- |
| 4.000 | 22.22 | 222 | 0 0 2 |
| 2.520 | 35.62 | 1000 | 1 0 1 |
| 2.212 | 40.78 | 809 | 1 0 2 |
| 2.000 | 45.34 | 235 | 0 0 4 |
| 1.882 | 48.37 | 426 | 1 0 3 |
| 1.533 | 60.37 | 301 | 1 1 0 |
| 1.371 | 68.46 | 152 | 1 0 5 |
| 1.310 | 72.11 | 131 | 2 0 1 |
| 1.260 | 75.43 | 133 | 2 0 2 |
| 1.217 | 78.62 | 283 | 1 1 4 |

=====

[12]
Calculated XRD peak list
Compound: Pr3Cu2Si4Pd2
Radiation: Cu Ka
Structure: a DFT-relaxed cell (PBE, OQMD)
Neutral-atom scattering factors, no anomalous dispersion.

Cell and atoms:
abc: 4.181 4.269 24.096
angles: 90.00 90.00 90.00
Space group Immm (No. 71)
Symmetry-distinct sites (fractional):
Pr 0.000 0.000 0.000
Pr 0.000 0.500 0.353
Cu 0.000 0.500 0.097
Si 0.000 0.000 0.450
Si 0.000 0.500 0.195
Pd 0.000 0.000 0.249

Top 10 peaks for 10° ≤ 2θ ≤ 80°, in order of rising 2θ:
| d [Å] | Position (°2θ) | Rel. int. | hkl |
| --- | --- | --- | --- |
| 3.709 | 24.00 | 139 | 1 0 3 |
| 3.012 | 29.66 | 89 | 0 0 8 |
| 2.677 | 33.48 | 1000 | 1 1 4 |
| 2.255 | 39.99 | 84 | 1 0 9 |
| 2.134 | 42.35 | 157 | 0 2 0 |
| 2.091 | 43.28 | 148 | 2 0 0 |
| 1.940 | 46.82 | 91 | 1 0 11 |
| 1.648 | 55.77 | 103 | 2 1 7 |
| 1.493 | 62.15 | 99 | 2 2 0 |
| 1.315 | 71.80 | 105 | 1 3 4 |

=====

[13]
Calculated XRD peak list
Compound: Ta2NiB2Pt
Radiation: Cu Ka
Structure: a DFT-relaxed cell (PBE, OQMD)
Neutral-atom scattering factors, no anomalous dispersion.

Cell and atoms:
abc: 2.754 2.868 22.177
angles: 90.00 90.00 90.00
Space group Amm2 (No. 38)
Symmetry-distinct sites (fractional):
Ta 0.000 0.000 0.000
Ta 0.000 0.000 0.122
Ni 0.000 0.000 0.726
B 0.000 0.000 0.283
B 0.000 0.000 0.820
Pt 0.000 0.000 0.389

Top 10 peaks for 10° ≤ 2θ ≤ 80°, in order of rising 2θ:
| d [Å] | Position (°2θ) | Rel. int. | hkl |
| --- | --- | --- | --- |
| 5.544 | 15.99 | 267 | 0 0 4 |
| 2.845 | 31.45 | 307 | 0 1 1 |
| 2.772 | 32.29 | 675 | 0 0 8 |
| 2.754 | 32.52 | 1000 | 1 0 0 |
| 2.674 | 33.51 | 831 | 0 1 3 |
| 2.409 | 37.34 | 267 | 0 1 5 |
| 2.126 | 42.52 | 481 | 0 1 7 |
| 1.954 | 46.48 | 499 | 1 0 8 |
| 1.918 | 47.39 | 562 | 1 1 3 |
| 1.683 | 54.53 | 465 | 1 1 7 |

=====

[14]
Calculated XRD peak list
Compound: NbB4Mo
Radiation: Cu Ka
Structure: a DFT-relaxed cell (PBE, OQMD)
Neutral-atom scattering factors, no anomalous dispersion.

Cell and atoms:
abc: 3.082 5.336 6.619
angles: 90.00 90.00 90.00
Space group Immm (No. 71)
Symmetry-distinct sites (fractional):
Nb 0.000 0.000 0.000
B 0.000 0.333 0.251
Mo 0.000 0.000 0.500

Top 9 peaks for 10° ≤ 2θ ≤ 80°, in order of rising 2θ:
| d [Å] | Position (°2θ) | Rel. int. | hkl |
| --- | --- | --- | --- |
| 3.309 | 26.94 | 362 | 0 0 2 |
| 2.669 | 33.58 | 762 | 1 1 0 |
| 2.077 | 43.57 | 1000 | 0 2 2 |
| 1.655 | 55.54 | 89 | 0 0 4 |
| 1.541 | 60.05 | 210 | 2 0 0 |
| 1.406 | 66.49 | 206 | 1 1 4 |
| 1.397 | 67.00 | 173 | 2 0 2 |
| 1.334 | 70.59 | 86 | 0 4 0 |
| 1.237 | 77.07 | 177 | 2 2 2 |